No. 1
Calculated powder diffractogram of LaSc3Cu8 for Cu Kα (λ = 1.5418 Å), from a DFT-relaxed cell (GGA-PBE, Alexandria).
Peak positions follow from Bragg's law for the DFT cell and can differ from measured ones.

Unit cell a=5.1539 b=5.1539 c=8.4018 alpha=90.00 beta=90.00 gamma=120.00
Space group P3m1 (No. 156)
One atom of each set of equivalent atoms:
1 La 0.0000 0.0000 0.0000 (multiplicity 1)
2 Sc 0.0000 0.0000 0.3984 (multiplicity 1)
3 Sc 0.6667 0.3333 0.4827 (multiplicity 1)
4 Sc 0.6667 0.3333 0.8540 (multiplicity 1)
5 Cu 0.1681 0.3362 0.6765 (multiplicity 3)
6 Cu 0.3333 0.6667 0.4295 (multiplicity 1)
7 Cu 0.3333 0.6667 0.9322 (multiplicity 1)
8 Cu 0.5018 0.0037 0.1929 (multiplicity 3)

Most intense lines, 10 to 90 degrees two-theta, in order of rising 2θ:
- 34.8°, d 2.577, I 26.2
- 37.9°, d 2.372, I 60.3
- 41.1°, d 2.197, I 100.0
- 41.9°, d 2.157, I 86.6
- 70.1°, d 1.342, I 26.1
- 73.5°, d 1.288, I 24.1

=====

No. 2
Calculated powder diffractogram of La2TiCuSe5 for Cu Kα (λ = 1.5418 Å), from a DFT-relaxed cell (GGA-PBE, Alexandria).
Peak positions follow from Bragg's law for the DFT cell and can differ from measured ones.

Unit cell a=4.0723 b=17.4903 c=11.8747 alpha=90.00 beta=90.00 gamma=90.00
Space group Cmc2_1 (No. 36)
One atom of each set of equivalent atoms:
1 La 0.0000 0.1183 0.0000 (multiplicity 4)
2 La 0.0000 0.1258 0.6147 (multiplicity 4)
3 Ti 0.0000 0.1882 0.3156 (multiplicity 4)
4 Cu 0.0000 0.4295 0.7475 (multiplicity 4)
5 Se 0.0000 0.0486 0.3528 (multiplicity 4)
6 Se 0.0000 0.2928 0.9632 (multiplicity 4)
7 Se 0.0000 0.3021 0.6665 (multiplicity 4)
8 Se 0.0000 0.3469 0.3100 (multiplicity 4)
9 Se 0.0000 0.4991 0.0744 (multiplicity 4)

Most intense lines, 10 to 90 degrees two-theta, in order of rising 2θ:
- 30.7°, d 2.910, I 38.6
- 31.6°, d 2.831, I 37.3
- 31.9°, d 2.802, I 100.0
- 33.8°, d 2.654, I 31.1
- 37.1°, d 2.423, I 44.5
- 44.5°, d 2.036, I 35.3